Entry 1:
Simulated PXRD pattern of Na5Co2AsC4O16 for Cu Ka, from the PBE+U geometry in the Materials Project.

Cell and atoms:
```
data_Na5Co2AsC4O16
_symmetry_space_group_name_H-M 'C 1 2/c 1'
_symmetry_Int_Tables_number 15
_cell_length_a 14.0615
_cell_length_b 14.2492
_cell_length_c 9.9083
_cell_angle_alpha 90.00
_cell_angle_beta 134.72
_cell_angle_gamma 90.00
loop_
_symmetry_equiv_pos_as_xyz
'x,y,z'
'-x,-y,-z'
'-x,y,-z+1/2'
'x,-y,z+1/2'
'x+1/2,y+1/2,z'
'-x+1/2,-y+1/2,-z'
'-x+1/2,y+1/2,-z+1/2'
'x+1/2,-y+1/2,z+1/2'
loop_
_atom_site_label
_atom_site_type_symbol
_atom_site_fract_x
_atom_site_fract_y
_atom_site_fract_z
_atom_site_occupancy
Na1 Na 0.0000 0.0873 0.2500 1
Na2 Na 0.2214 0.1267 0.1794 1
Na3 Na 0.2212 0.1267 0.7623 1
Co1 Co 0.0000 0.5000 0.0000 1
Co2 Co 0.2500 0.2500 0.5000 1
As1 As 0.0000 0.1279 0.7500 1
C1 C 0.0002 0.2865 0.0739 1
C2 C 0.1796 0.4626 0.4308 1
O1 O 0.0008 0.0567 0.8925 1
O2 O 0.0423 0.3590 0.5337 1
O3 O 0.0858 0.2272 0.4614 1
O4 O 0.1260 0.4825 0.9661 1
O5 O 0.1277 0.2695 0.2117 1
O6 O 0.1459 0.1916 0.8948 1
O7 O 0.1669 0.4794 0.2902 1
O8 O 0.2455 0.1070 0.4544 1
```

The 10 most intense peaks (10° ≤ 2θ ≤ 80°), by angle:
2θ (°)  d_spacing  Rel. int.  h k l
10.9  8.139  24  1 1 -1
17.7  5.006  67  2 2 -1
20.7  4.287  80  1 3 0
20.9  4.248  82  1 1 -2
21.0  4.236  41  3 1 -2
32.7  2.740  49  1 5 -1
33.0  2.713  62  1 1 2
33.1  2.705  49  1 1 -3
35.9  2.502  100  4 0 0
56.1  1.638  20  1 7 2

---

Entry 2:
Simulated PXRD pattern of Na5Co2AsC4O16 for Cu Ka, from the PBE+U geometry in the Materials Project.

Cell and atoms:
```
data_Na5Co2AsC4O16
_symmetry_space_group_name_H-M 'F 2 2 2'
_symmetry_Int_Tables_number 22
_symmetry_space_group_name_Hall 'F 2 2'
_cell_length_a 14.1108
_cell_length_b 14.1291
_cell_length_c 14.2201
_cell_angle_alpha 90.00
_cell_angle_beta 90.00
_cell_angle_gamma 90.00
loop_
_atom_site_label
_atom_site_type_symbol
_atom_site_fract_x
_atom_site_fract_y
_atom_site_fract_z
_atom_site_occupancy
Na1 Na 0.0000 0.0000 0.2136 1
Na2 Na 0.0000 0.2138 0.0000 1
Na3 Na 0.0345 0.2500 0.7500 1
Na4 Na 0.2137 0.0000 0.0000 1
Na5 Na 0.2500 0.0347 0.7500 1
Co1 Co 0.1261 0.1262 0.3771 1
As1 As 0.0000 0.0000 0.0000 1
As2 As 0.2500 0.2500 0.7500 1
C1 C 0.0880 0.0873 0.5875 1
C2 C 0.1612 0.1619 0.1628 1
O1 O 0.0194 0.1468 0.6033 1
O2 O 0.0697 0.0695 0.9287 1
O3 O 0.1042 0.0191 0.6468 1
O4 O 0.1038 0.1454 0.2332 1
O5 O 0.1428 0.0987 0.5159 1
O6 O 0.1443 0.2313 0.1070 1
O7 O 0.1763 0.1760 0.8121 1
O8 O 0.2307 0.1036 0.1477 1
```

The 10 most intense peaks (10° ≤ 2θ ≤ 80°), by angle:
2θ (°)  d_spacing  Rel. int.  h k l
17.7  5.008  54  0 2 2
20.8  4.274  100  1 1 3
20.9  4.258  44  3 1 1
21.8  4.086  20  2 2 2
32.7  2.735  36  1 1 5
32.9  2.718  83  5 1 1
35.8  2.505  56  4 0 4
36.0  2.496  27  4 4 0
42.4  2.130  16  2 6 2
56.3  1.634  21  5 5 5

---

Entry 3:
Simulated PXRD pattern of Na3CoAsCO7 for Cu Ka, from the PBE+U geometry in the Materials Project.

Cell and atoms:
```
data_Na3CoAsCO7
_symmetry_space_group_name_H-M 'P 1'
_symmetry_Int_Tables_number 1
_cell_length_a 8.6639
_cell_length_b 8.6663
_cell_length_c 9.1317
_cell_angle_alpha 90.71
_cell_angle_beta 90.59
_cell_angle_gamma 104.89
loop_
_symmetry_equiv_pos_as_xyz
'x,y,z'
loop_
_atom_site_label
_atom_site_type_symbol
_atom_site_fract_x
_atom_site_fract_y
_atom_site_fract_z
_atom_site_occupancy
Na1 Na 0.0000 0.0000 0.0000 1
Na2 Na 0.9996 0.4995 0.5172 1
Na3 Na 0.1173 0.8638 0.3400 1
Na4 Na 0.1350 0.3798 0.1793 1
Na5 Na 0.2518 0.2436 0.5170 1
Na6 Na 0.2524 0.7446 0.0007 1
Na7 Na 0.4976 0.9979 0.5171 1
Na8 Na 0.4986 0.4976 0.0005 1
Na9 Na 0.6189 0.3635 0.3393 1
Na10 Na 0.6346 0.8813 0.1800 1
Na11 Na 0.7520 0.2451 0.0009 1
Na12 Na 0.7534 0.7452 0.5171 1
Co1 Co 0.3597 0.6020 0.6053 1
Co2 Co 0.3946 0.1363 0.9125 1
Co3 Co 0.8563 0.1051 0.6061 1
Co4 Co 0.8927 0.6384 0.9174 1
As1 As 0.1027 0.3493 0.8415 1
As2 As 0.1474 0.8931 0.6752 1
As3 As 0.6031 0.8478 0.8420 1
As4 As 0.6486 0.3947 0.6751 1
C1 C 0.3617 0.1072 0.1989 1
C2 C 0.3912 0.6367 0.3176 1
C3 C 0.8623 0.6080 0.1997 1
C4 C 0.8912 0.1372 0.3179 1
O1 O 0.0084 0.9513 0.5666 1
O2 O 0.0431 0.4870 0.9513 1
O3 O 0.0766 0.8224 0.8425 1
O4 O 0.1724 0.4188 0.6736 1
O5 O 0.2052 0.7539 0.5663 1
O6 O 0.2421 0.2921 0.9500 1
O7 O 0.2609 0.0103 0.1111 1
O8 O 0.2818 0.5246 0.3785 1
O9 O 0.3098 0.0564 0.7044 1
O10 O 0.3486 0.0943 0.3397 1
O11 O 0.4000 0.6458 0.1762 1
O12 O 0.4394 0.6861 0.8131 1
O13 O 0.4758 0.2175 0.1415 1
O14 O 0.4911 0.7391 0.4014 1
O15 O 0.5099 0.4519 0.5649 1
O16 O 0.5455 0.9865 0.9522 1
O17 O 0.5772 0.3231 0.8421 1
O18 O 0.6721 0.9183 0.6743 1
O19 O 0.7052 0.2549 0.5656 1
O20 O 0.7410 0.7888 0.9513 1
O21 O 0.7635 0.5097 0.1114 1
O22 O 0.7805 0.0269 0.3797 1
O23 O 0.8111 0.5568 0.7043 1
O24 O 0.8492 0.5950 0.3402 1
O25 O 0.8990 0.1453 0.1763 1
O26 O 0.9402 0.1860 0.8129 1
O27 O 0.9746 0.7199 0.1421 1
O28 O 0.9933 0.2384 0.4007 1
```

The 10 most intense peaks (10° ≤ 2θ ≤ 80°), by angle:
2θ (°)  d_spacing  Rel. int.  h k l
19.3  4.608  35  1 1 -1
23.5  3.784  33  2 0 1
25.6  3.486  37  1 1 -2
26.0  3.433  100  2 -2 0
29.2  3.063  31  2 0 2
32.5  2.754  45  1 -3 1
32.6  2.743  62  -2 2 2
34.0  2.640  61  2 2 0
36.8  2.445  30  0 2 3
53.3  1.717  29  4 -4 0

---

Entry 4:
Simulated PXRD pattern of LiCrAsCO7 for Cu Ka, from the PBE+U geometry in the Materials Project.

Cell and atoms:
```
data_LiCrAsCO7
_symmetry_space_group_name_H-M 'P 1 21 1'
_symmetry_Int_Tables_number 4
_cell_length_a 5.1735
_cell_length_b 6.4587
_cell_length_c 8.8479
_cell_angle_alpha 90.00
_cell_angle_beta 93.87
_cell_angle_gamma 90.00
loop_
_symmetry_equiv_pos_as_xyz
'x,y,z'
'-x,y+1/2,-z'
loop_
_atom_site_label
_atom_site_type_symbol
_atom_site_fract_x
_atom_site_fract_y
_atom_site_fract_z
_atom_site_occupancy
Li1 Li 0.2177 0.0000 0.2975 1
Cr1 Cr 0.2001 0.2474 0.8278 1
As1 As 0.2819 0.7544 0.9281 1
C1 C 0.2714 0.2581 0.5636 1
O1 O 0.0388 0.2589 0.6165 1
O2 O 0.1396 0.7685 0.0980 1
O3 O 0.1657 0.5540 0.8181 1
O4 O 0.2011 0.9606 0.8099 1
O5 O 0.3245 0.2256 0.4324 1
O6 O 0.3908 0.2341 0.0299 1
O7 O 0.4532 0.2873 0.6795 1
```

The 10 most intense peaks (10° ≤ 2θ ≤ 80°), by angle:
2θ (°)  d_spacing  Rel. int.  h k l
10.0  8.828  100  0 0 1
17.0  5.213  12  0 1 1
19.3  4.593  29  1 0 -1
20.5  4.330  24  1 0 1
24.8  3.597  33  1 1 1
25.7  3.472  27  1 0 -2
27.6  3.229  44  0 2 0
30.8  2.902  11  1 1 2
34.8  2.581  11  2 0 0
57.0  1.615  11  0 4 0

---

Entry 5:
Simulated PXRD pattern of Li2CrAsCO7 for Cu Ka, from the PBE+U geometry in the Materials Project.

Cell and atoms:
```
data_Li2CrAsCO7
_symmetry_space_group_name_H-M 'P 1 21/m 1'
_symmetry_Int_Tables_number 11
_cell_length_a 5.1439
_cell_length_b 6.5859
_cell_length_c 8.6266
_cell_angle_alpha 90.00
_cell_angle_beta 93.94
_cell_angle_gamma 90.00
loop_
_symmetry_equiv_pos_as_xyz
'x,y,z'
'-x,-y,-z'
'-x,y+1/2,-z'
'x,-y+1/2,z'
loop_
_atom_site_label
_atom_site_type_symbol
_atom_site_fract_x
_atom_site_fract_y
_atom_site_fract_z
_atom_site_occupancy
Li1 Li 0.2146 0.0073 0.2863 1
Cr1 Cr 0.2074 0.7500 0.8349 1
As1 As 0.2787 0.2500 0.9200 1
C1 C 0.2726 0.7500 0.5547 1
O1 O 0.0419 0.7500 0.6133 1
O2 O 0.1614 0.2500 0.1028 1
O3 O 0.1688 0.0480 0.8106 1
O4 O 0.3015 0.7500 0.4105 1
O5 O 0.3861 0.7500 0.0502 1
O6 O 0.4686 0.7500 0.6622 1
```

The 10 most intense peaks (10° ≤ 2θ ≤ 80°), by angle:
2θ (°)  d_spacing  Rel. int.  h k l
10.3  8.606  100  0 0 1
19.5  4.547  26  1 0 -1
20.8  4.280  21  1 0 1
24.8  3.591  40  1 1 1
26.1  3.415  33  1 0 -2
27.1  3.293  52  0 2 0
29.0  3.076  11  0 2 1
31.2  2.871  12  1 1 2
34.3  2.614  11  0 2 2
35.0  2.566  15  2 0 0

---

Entry 6:
Simulated PXRD pattern of Na6Cr2AsC4O16 for Cu Ka, from the PBE+U geometry in the Materials Project.

Cell and atoms:
Lattice parameters (Å, degrees): 14.1168 14.1168 14.1168 90.00 90.00 90.00
Space group Fd-3 (No. 203, origin choice 2)
Asymmetric unit:
Na 0.0838 0.3750 0.3750 (multiplicity 48)
Cr 0.0000 0.0000 0.5000 (multiplicity 16)
As 0.1250 0.1250 0.1250 (multiplicity 8)
C 0.0353 0.0353 0.7147 (multiplicity 32)
O 0.0207 0.2728 0.6053 (multiplicity 96)
O 0.0545 0.0545 0.0545 (multiplicity 32)

The 10 most intense peaks (10° ≤ 2θ ≤ 80°), by angle:
2θ (°)  d_spacing  Rel. int.  h k l
17.8  4.991  32  2 2 0
20.9  4.256  97  3 1 1
33.0  2.717  100  5 1 1
36.0  2.496  64  4 4 0
45.9  1.977  15  5 5 1
48.2  1.886  16  6 4 2
49.6  1.838  15  5 5 3
56.5  1.630  38  5 5 5
62.8  1.480  13  9 3 1
68.8  1.365  16  9 5 1

---

Entry 7:
Simulated PXRD pattern of Na3CrAsCO7 for Cu Ka, from the PBE+U geometry in the Materials Project.

Cell and atoms:
```
data_Na3CrAsCO7
_symmetry_space_group_name_H-M 'P 1 21/m 1'
_symmetry_Int_Tables_number 11
_cell_length_a 5.3531
_cell_length_b 6.8672
_cell_length_c 9.3235
_cell_angle_alpha 90.00
_cell_angle_beta 91.91
_cell_angle_gamma 90.00
loop_
_symmetry_equiv_pos_as_xyz
'x,y,z'
'-x,-y,-z'
'-x,y+1/2,-z'
'x,-y+1/2,z'
loop_
_atom_site_label
_atom_site_type_symbol
_atom_site_fract_x
_atom_site_fract_y
_atom_site_fract_z
_atom_site_occupancy
Na1 Na 0.2070 0.2500 0.0845 1
Na2 Na 0.2511 0.5023 0.7436 1
Cr1 Cr 0.2284 0.7500 0.3471 1
As1 As 0.3127 0.2500 0.4194 1
C1 C 0.2899 0.7500 0.0493 1
O1 O 0.0939 0.7500 0.1309 1
O2 O 0.1866 0.2500 0.5846 1
O3 O 0.2292 0.0534 0.3120 1
O4 O 0.2530 0.7500 0.9109 1
O5 O 0.3632 0.7500 0.5596 1
O6 O 0.4872 0.2500 0.8931 1
```

The 10 most intense peaks (10° ≤ 2θ ≤ 80°), by angle:
2θ (°)  d_spacing  Rel. int.  h k l
18.8  4.708  50  1 0 -1
23.4  3.807  41  1 1 1
24.9  3.573  49  1 0 -2
25.9  3.434  100  0 2 0
28.9  3.088  44  1 1 2
32.3  2.774  59  1 2 -1
32.4  2.764  69  0 2 2
33.5  2.675  81  2 0 0
47.1  1.928  37  0 2 4
53.4  1.717  34  0 4 0